[1]
# GaSe3N2Cl5
Simulated X-ray powder pattern, Cu Kα. Input: the PBE geometry in the Materials Project.
No peak broadening, texture or thermal motion is included.

```
GaSe3N2Cl5
1.0
9.8089 0.0000 0.0000
0.0000 11.1759 0.0000
-9.6122 0.0000 11.8380
Ga Se N Cl
4 12 8 20
Direct
0.2154 0.1344 0.1877
0.2154 0.3656 0.6877
0.7846 0.6344 0.3123
0.7846 0.8656 0.8123
0.1443 0.7496 0.1864
0.1443 0.7504 0.6864
0.3322 0.5183 0.3172
0.3322 0.9817 0.8172
0.3379 0.7261 0.8956
0.3379 0.7739 0.3956
0.6621 0.2261 0.6044
0.6621 0.2739 0.1044
0.6678 0.0183 0.1828
0.6678 0.4817 0.6828
0.8557 0.2496 0.3136
0.8557 0.2504 0.8136
0.1941 0.5973 0.1917
0.1941 0.9027 0.6917
0.3867 0.6213 0.4255
0.3867 0.8787 0.9255
0.6133 0.1213 0.0745
0.6133 0.3787 0.5745
0.8059 0.0973 0.3083
0.8059 0.4027 0.8083
0.0282 0.2158 0.5993
0.0282 0.2842 0.0993
0.1150 0.0136 0.2523
0.1150 0.4864 0.7523
0.2402 0.0324 0.0756
0.2402 0.4676 0.5756
0.4258 0.1376 0.5741
0.4258 0.3624 0.0741
0.4730 0.2073 0.3297
0.4730 0.2927 0.8297
0.5270 0.7073 0.1703
0.5270 0.7927 0.6703
0.5742 0.6376 0.9259
0.5742 0.8624 0.4259
0.7598 0.5324 0.4244
0.7598 0.9676 0.9244
0.8850 0.5136 0.2477
0.8850 0.9864 0.7477
0.9718 0.7158 0.9007
0.9718 0.7842 0.4007
```

Principal peaks in the range 2θ = 10–80°, sorted by position:
Position (°2θ), d [Å], I/Imax
14.97, 5.919, 39
16.95, 5.231, 29
17.55, 5.053, 24
18.09, 4.904, 100
23.77, 3.744, 24
25.07, 3.552, 34
26.64, 3.346, 21
29.30, 3.049, 40
29.90, 2.989, 36
39.53, 2.280, 26

[2]
# NaGaCl4
Simulated X-ray powder pattern, Cu Kα. Input: the PBE geometry in the Materials Project.
No peak broadening, texture or thermal motion is included.

```
NaGaCl4
1.0
6.3381 0.0000 0.0000
0.0000 10.0728 0.0000
0.0000 0.0000 10.5105
Na Ga Cl
4 4 16
Direct
0.0592 0.0377 0.3717
0.4408 0.9623 0.8717
0.5592 0.4623 0.6283
0.9408 0.5377 0.1283
0.0368 0.7357 0.7124
0.4632 0.2643 0.2124
0.5368 0.7643 0.2876
0.9632 0.2357 0.7876
0.1360 0.5623 0.6000
0.1714 0.7285 0.9065
0.1737 0.9179 0.6275
0.1889 0.7586 0.2835
0.3111 0.2414 0.7835
0.3263 0.0821 0.1275
0.3286 0.2715 0.4065
0.3640 0.4377 0.1000
0.6360 0.9377 0.4000
0.6714 0.7715 0.0935
0.6737 0.5821 0.3725
0.6889 0.7414 0.7165
0.8111 0.2586 0.2165
0.8263 0.4179 0.8725
0.8286 0.2285 0.5935
0.8640 0.0623 0.9000
```

Principal peaks in the range 2θ = 10–80°, sorted by position:
Position (°2θ), d [Å], I/Imax
16.33, 5.428, 100
16.87, 5.255, 46
17.61, 5.036, 44
24.11, 3.692, 53
24.48, 3.636, 54
26.94, 3.309, 30
28.30, 3.154, 36
29.55, 3.023, 52
30.47, 2.933, 37
51.28, 1.782, 26

[3]
# Na3GaCl6
Simulated X-ray powder pattern, Cu Kα. Input: the PBE geometry in the Materials Project.
No peak broadening, texture or thermal motion is included.

```
Na3GaCl6
1.0
0.0000 5.0632 5.0632
5.0632 0.0000 5.0632
5.0632 5.0632 0.0000
Na Ga Cl
3 1 6
Direct
0.0000 0.0000 0.0000
0.2500 0.2500 0.2500
0.7500 0.7500 0.7500
0.5000 0.5000 0.5000
0.2653 0.2653 0.7347
0.2653 0.7347 0.2653
0.2653 0.7347 0.7347
0.7347 0.2653 0.2653
0.7347 0.2653 0.7347
0.7347 0.7347 0.2653
```

Principal peaks in the range 2θ = 10–80°, sorted by position:
Position (°2θ), d [Å], I/Imax
15.15, 5.846, 43
17.52, 5.063, 76
24.87, 3.580, 23
30.58, 2.923, 43
35.46, 2.532, 100
39.81, 2.264, 30
46.60, 1.949, 13
51.02, 1.790, 61
54.36, 1.688, 14
63.67, 1.462, 19